Theoretical PXRD pattern of Ga2HgTe4 for λ = 1.5418 Å (Cu Kα), from a crystal structure in Alexandria, relaxed with PBE.
Lines closer than 0.1° are merged.

Structural model:
a = 6.253 Å, b = 6.253 Å, c = 12.015 Å
α = 90.00°, β = 90.00°, γ = 90.00°
Element x y z (fractional)
Ga (0.000, 0.000, 0.000)
Ga (0.000, 0.500, 0.250)
Ga (0.500, 0.000, 0.750)
Ga (0.500, 0.500, 0.500)
Hg (0.000, 0.000, 0.500)
Hg (0.500, 0.500, 0.000)
Te (0.223, 0.248, 0.861)
Te (0.248, 0.777, 0.139)
Te (0.252, 0.723, 0.639)
Te (0.277, 0.252, 0.361)
Te (0.723, 0.748, 0.361)
Te (0.748, 0.277, 0.639)
Te (0.752, 0.223, 0.139)
Te (0.777, 0.752, 0.861)

Top 12 peaks for 5 to 70 degrees two-theta, low angle first:
2theta  I (rel.)  hkl
15.98  9  1 0 1
20.08  9  1 1 0
25.01  100  1 1 2
26.43  9  1 0 3
32.28  12  2 0 2
32.89  12  2 1 1
40.82  26  2 2 0
41.70  47  2 0 4
48.47  31  3 1 2
50.01  15  1 1 6
59.10  8  4 0 0
66.46  13  1 3 6